Record 1
The following is a theoretical PXRD pattern of SiCl3F. It was derived from a crystal structure in Alexandria, relaxed with GGA-PBE, using Cu Kα, 1.54184 Å.
Lines closer than 0.1° are merged.

Atomic structure:
Lattice parameters (Å, degrees): 14.1428 5.4567 10.8954 90.00 90.00 90.00
Space group Ima2 (No. 46)
One atom of each set of equivalent atoms:
Si (0.2500, 0.0982, 0.0000) x4
Cl (0.1322, 0.5146, 0.4107) x8
Cl (0.2500, 0.5208, 0.6758) x4
F (0.2500, 0.1083, 0.5015) x4

Largest 6 diffraction maxima, by intensity, 10° ≤ 2θ ≤ 90°:
2θ = 12.52°, I 100, hkl 2 0 0
2θ = 18.18°, I 73, hkl 0 1 1
2θ = 16.27°, I 31, hkl 0 0 2
2θ = 31.24°, I 28, hkl 4 1 1
2θ = 30.13°, I 22, hkl 4 0 2
2θ = 32.85°, I 22, hkl 0 2 0



Record 2
The following is a theoretical PXRD pattern of AcMg2Si2Ir. It was derived from a crystal structure in Alexandria, relaxed with GGA-PBE, using Cu Kα, 1.54184 Å.
Lines closer than 0.1° are merged.

Atomic structure:
Lattice parameters (Å, degrees): 4.3260 4.3260 15.9374 90.00 90.00 90.00
Space group I4/mmm (No. 139)
One atom of each set of equivalent atoms:
Ac (0.0000, 0.0000, 0.0000) x2
Mg (0.0000, 0.5000, 0.2500) x4
Si (0.0000, 0.0000, 0.3545) x4
Ir (0.0000, 0.0000, 0.5000) x2

Largest 6 diffraction maxima, by intensity, 10° ≤ 2θ ≤ 90°:
2θ = 11.10°, I 100, hkl 0 0 2
2θ = 31.32°, I 65, hkl 1 1 2
2θ = 29.19°, I 34, hkl 1 1 0
2θ = 22.31°, I 31, hkl 0 0 4
2θ = 45.21°, I 30, hkl 1 1 6
2θ = 41.76°, I 20, hkl 2 0 0



Record 3
The following is a theoretical PXRD pattern of Sr4Ta2O9. It was derived from a crystal structure in Alexandria, relaxed with GGA-PBE, using Cu Kα, 1.54184 Å.
Lines closer than 0.1° are merged.

Atomic structure:
Lattice parameters (Å, degrees): 5.9379 5.9382 15.8595 90.00 89.99 60.00
Space group P-1 (No. 2)
One atom of each set of equivalent atoms:
Sr (0.0000, 0.0000, 0.0000) x1
Sr (0.9999, 0.0002, 0.2501) x2
Sr (0.0000, 0.0000, 0.5000) x1
Sr (0.3327, 0.3341, 0.1379) x2
Sr (0.3336, 0.3331, 0.3622) x2
Ta (0.3332, 0.3335, 0.6546) x2
Ta (0.3337, 0.3326, 0.8454) x2
O (0.0408, 0.4061, 0.7501) x2
O (0.0800, 0.6488, 0.6027) x2
O (0.0811, 0.6468, 0.8979) x2
O (0.2711, 0.0807, 0.6024) x2
O (0.2722, 0.0792, 0.8974) x2
O (0.3509, 0.7297, 0.1028) x2
O (0.3523, 0.7280, 0.3978) x2
O (0.4064, 0.5528, 0.7500) x2
O (0.4468, 0.9597, 0.2502) x2

Largest 6 diffraction maxima, by intensity, 10° ≤ 2θ ≤ 90°:
2θ = 30.10°, I 100, hkl 2 1 0
2θ = 28.42°, I 77, hkl 1 0 4
2θ = 18.13°, I 42, hkl 0 1 1
2θ = 41.87°, I 38, hkl 2 0 4
2θ = 45.97°, I 30, hkl -1 1 6
2θ = 52.43°, I 29, hkl 3 2 -4



Number 1 is which compound? SiCl3F